(1)
The following is a computed powder X-ray diffraction pattern of Tl7BiTe6. It was derived from DFT lattice parameters and positions (GGA-PBE), using Cu Kα (weighted mean of Kα1 and Kα2).
Intensities are scaled so that the largest is 100.

Peak list (6 most intense, 2θ from 15° to 90°, low angle first)
22.90°, I 54.1
25.77°, I 39.5
29.38°, I 100.0
32.16°, I 86.7
33.05°, I 42.5
36.38°, I 48.5

Crystal structure
a = 8.785 Å, b = 8.785 Å, c = 8.785 Å
α = 64.61°, β = 64.61°, γ = 64.61°
Positions (direct):
Tl 0.000 0.000 0.000
Tl 0.162 0.599 0.920
Tl 0.183 0.650 0.413
Tl 0.413 0.183 0.650
Tl 0.599 0.920 0.162
Tl 0.650 0.413 0.183
Tl 0.920 0.162 0.599
Bi 0.662 0.662 0.662
Te 0.324 0.882 0.539
Te 0.417 0.828 0.984
Te 0.539 0.324 0.882
Te 0.828 0.984 0.417
Te 0.882 0.539 0.324
Te 0.984 0.417 0.828


(2)
The following is a computed powder X-ray diffraction pattern of Y6Tl2BiTe3. It was derived from DFT lattice parameters and positions (GGA-PBE), using Cu Kα (weighted mean of Kα1 and Kα2).
Intensities are scaled so that the largest is 100.

Peak list (6 most intense, 2θ from 15° to 90°, low angle first)
25.14°, I 10.7
28.70°, I 100.0
40.11°, I 39.4
41.94°, I 35.6
51.56°, I 13.0
65.98°, I 11.6

Crystal structure
a = 9.985 Å, b = 9.985 Å, c = 9.001 Å
α = 106.52°, β = 106.52°, γ = 24.95°
Positions (direct):
Y 0.006 0.006 0.252
Y 0.332 0.332 0.901
Y 0.336 0.336 0.405
Y 0.664 0.664 0.595
Y 0.668 0.668 0.099
Y 0.994 0.994 0.748
Tl 0.172 0.172 0.351
Tl 0.828 0.828 0.649
Bi 0.500 0.500 0.000
Te 0.163 0.163 0.844
Te 0.500 0.500 0.500
Te 0.837 0.837 0.156


(3)
The following is a computed powder X-ray diffraction pattern of Tm3Bi2Te. It was derived from DFT lattice parameters and positions (GGA-PBE), using Cu Kα (weighted mean of Kα1 and Kα2).
Intensities are scaled so that the largest is 100.

Peak list (6 most intense, 2θ from 15° to 90°, low angle first)
28.76°, I 100.0
41.12°, I 77.4
50.95°, I 27.9
67.43°, I 24.3
67.52°, I 12.1
74.93°, I 27.2

Crystal structure
a = 9.808 Å, b = 9.808 Å, c = 6.212 Å
α = 90.00°, β = 90.00°, γ = 36.93°
Positions (direct):
Tm 0.083 0.584 0.250
Tm 0.248 0.752 0.750
Tm 0.416 0.917 0.250
Tm 0.584 0.083 0.750
Tm 0.752 0.248 0.250
Tm 0.917 0.416 0.750
Bi 0.084 0.584 0.750
Bi 0.416 0.916 0.750
Bi 0.584 0.084 0.250
Bi 0.916 0.416 0.250
Te 0.251 0.749 0.250
Te 0.749 0.251 0.750


(4)
The following is a computed powder X-ray diffraction pattern of Tm4Bi2Te. It was derived from DFT lattice parameters and positions (GGA-PBE), using Cu Kα (weighted mean of Kα1 and Kα2).
Intensities are scaled so that the largest is 100.

Peak list (6 most intense, 2θ from 15° to 90°, low angle first)
27.62°, I 49.2
29.69°, I 28.2
30.40°, I 81.8
33.53°, I 63.0
33.64°, I 66.4
34.75°, I 100.0

Crystal structure
a = 8.201 Å, b = 8.201 Å, c = 8.201 Å
α = 118.71°, β = 109.88°, γ = 100.34°
Positions (direct):
Tm 0.024 0.938 0.559
Tm 0.144 0.159 0.124
Tm 0.356 0.481 0.016
Tm 0.476 0.035 0.914
Tm 0.535 0.019 0.376
Tm 0.621 0.562 0.586
Tm 0.879 0.465 0.941
Tm 0.965 0.341 0.484
Bi 0.158 0.750 0.908
Bi 0.250 0.637 0.387
Bi 0.342 0.250 0.592
Bi 0.750 0.863 0.113
Te 0.736 0.486 0.250
Te 0.764 0.014 0.750


(5)
The following is a computed powder X-ray diffraction pattern of Tm2BiTe4. It was derived from DFT lattice parameters and positions (GGA-PBE), using Cu Kα (weighted mean of Kα1 and Kα2).
Intensities are scaled so that the largest is 100.

Peak list (6 most intense, 2θ from 15° to 90°, low angle first)
26.43°, I 22.6
26.68°, I 44.3
33.64°, I 100.0
33.91°, I 40.7
41.56°, I 51.3
42.58°, I 32.1

Crystal structure
a = 16.888 Å, b = 4.246 Å, c = 7.588 Å
α = 90.00°, β = 115.76°, γ = 90.00°
Positions (direct):
Tm 0.243 0.000 0.222
Tm 0.257 0.500 0.778
Tm 0.743 0.500 0.222
Tm 0.757 0.000 0.778
Bi 0.000 0.500 0.500
Bi 0.500 0.000 0.500
Te 0.126 0.500 0.957
Te 0.143 0.000 0.476
Te 0.357 0.500 0.524
Te 0.374 0.000 0.043
Te 0.626 0.000 0.957
Te 0.643 0.500 0.476
Te 0.857 0.000 0.524
Te 0.874 0.500 0.043


(6)
The following is a computed powder X-ray diffraction pattern of Tm8Bi3Te4. It was derived from DFT lattice parameters and positions (GGA-PBE), using Cu Kα (weighted mean of Kα1 and Kα2).
Intensities are scaled so that the largest is 100.

Peak list (6 most intense, 2θ from 15° to 90°, low angle first)
29.31°, I 100.0
41.69°, I 12.8
41.92°, I 50.3
51.77°, I 13.5
52.18°, I 13.1
68.87°, I 17.0

Crystal structure
a = 8.615 Å, b = 8.615 Å, c = 8.571 Å
α = 119.75°, β = 119.75°, γ = 90.09°
Positions (direct):
Tm 0.233 0.233 0.002
Tm 0.237 0.763 0.000
Tm 0.241 0.241 0.481
Tm 0.250 0.750 0.500
Tm 0.750 0.250 0.500
Tm 0.759 0.759 0.519
Tm 0.763 0.237 0.000
Tm 0.767 0.767 0.998
Bi 0.000 0.000 0.500
Bi 0.000 0.500 0.000
Bi 0.500 0.000 0.000
Te 0.000 0.500 0.500
Te 0.500 0.000 0.500
Te 0.500 0.500 0.000
Te 0.500 0.500 0.500


(7)
The following is a computed powder X-ray diffraction pattern of Tm4BiTe3. It was derived from DFT lattice parameters and positions (GGA-PBE), using Cu Kα (weighted mean of Kα1 and Kα2).
Intensities are scaled so that the largest is 100.

Peak list (6 most intense, 2θ from 15° to 90°, low angle first)
29.14°, I 100.0
41.33°, I 13.0
41.63°, I 25.6
41.76°, I 25.3
51.95°, I 13.5
60.42°, I 12.8

Crystal structure
a = 7.507 Å, b = 8.604 Å, c = 7.538 Å
α = 90.00°, β = 108.99°, γ = 90.00°
Positions (direct):
Tm 0.246 0.124 0.499
Tm 0.246 0.876 0.999
Tm 0.248 0.374 0.000
Tm 0.248 0.626 0.500
Tm 0.752 0.374 0.500
Tm 0.752 0.626 0.000
Tm 0.754 0.124 0.001
Tm 0.754 0.876 0.501
Bi 0.500 0.374 0.750
Bi 0.500 0.626 0.250
Te 0.000 0.125 0.750
Te 0.000 0.375 0.250
Te 0.000 0.625 0.750
Te 0.000 0.875 0.250
Te 0.500 0.124 0.250
Te 0.500 0.876 0.750


(8)
The following is a computed powder X-ray diffraction pattern of U2BiTe. It was derived from DFT lattice parameters and positions (GGA-PBE), using Cu Kα (weighted mean of Kα1 and Kα2).
Intensities are scaled so that the largest is 100.

Peak list (6 most intense, 2θ from 15° to 90°, low angle first)
33.44°, I 100.0
48.02°, I 18.5
59.78°, I 39.1
70.26°, I 12.3
80.09°, I 17.7
89.63°, I 4.7

Crystal structure
a = 7.578 Å, b = 7.578 Å, c = 7.578 Å
α = 90.00°, β = 90.00°, γ = 90.00°
Positions (direct):
U 0.250 0.250 0.250
U 0.250 0.250 0.750
U 0.250 0.750 0.250
U 0.250 0.750 0.750
U 0.750 0.250 0.250
U 0.750 0.250 0.750
U 0.750 0.750 0.250
U 0.750 0.750 0.750
Bi 0.000 0.000 0.000
Bi 0.000 0.500 0.500
Bi 0.500 0.000 0.500
Bi 0.500 0.500 0.000
Te 0.000 0.000 0.500
Te 0.000 0.500 0.000
Te 0.500 0.000 0.000
Te 0.500 0.500 0.500


(9)
The following is a computed powder X-ray diffraction pattern of U2BiTe. It was derived from DFT lattice parameters and positions (GGA-PBE), using Cu Kα (weighted mean of Kα1 and Kα2).
Intensities are scaled so that the largest is 100.

Peak list (6 most intense, 2θ from 15° to 90°, low angle first)
28.64°, I 100.0
39.16°, I 44.3
42.69°, I 34.4
49.23°, I 23.2
64.64°, I 21.0
69.65°, I 16.5

Crystal structure
a = 4.601 Å, b = 4.601 Å, c = 20.008 Å
α = 90.00°, β = 90.00°, γ = 120.00°
Positions (direct):
U 0.000 0.000 0.247
U 0.000 0.000 0.753
U 0.333 0.667 0.420
U 0.333 0.667 0.913
U 0.667 0.333 0.087
U 0.667 0.333 0.580
Bi 0.000 0.000 0.000
Bi 0.333 0.667 0.667
Bi 0.667 0.333 0.333
Te 0.000 0.000 0.500
Te 0.333 0.667 0.167
Te 0.667 0.333 0.833


(10)
The following is a computed powder X-ray diffraction pattern of U3BiTe8. It was derived from DFT lattice parameters and positions (GGA-PBE), using Cu Kα (weighted mean of Kα1 and Kα2).
Intensities are scaled so that the largest is 100.

Peak list (6 most intense, 2θ from 15° to 90°, low angle first)
23.85°, I 32.8
26.60°, I 77.6
30.21°, I 100.0
34.69°, I 32.7
39.79°, I 43.0
41.02°, I 73.6

Crystal structure
a = 8.800 Å, b = 8.800 Å, c = 14.085 Å
α = 90.00°, β = 90.00°, γ = 120.00°
Positions (direct):
U 0.166 0.333 0.000
U 0.166 0.834 0.000
U 0.333 0.166 0.500
U 0.667 0.834 0.000
U 0.834 0.166 0.500
U 0.834 0.667 0.500
Bi 0.333 0.667 0.238
Bi 0.667 0.333 0.738
Te 0.000 0.000 0.121
Te 0.000 0.000 0.621
Te 0.002 0.501 0.621
Te 0.162 0.323 0.384
Te 0.162 0.838 0.384
Te 0.323 0.162 0.884
Te 0.333 0.667 0.879
Te 0.499 0.501 0.621
Te 0.499 0.998 0.621
Te 0.501 0.002 0.121
Te 0.501 0.499 0.121
Te 0.667 0.333 0.379
Te 0.677 0.838 0.384
Te 0.838 0.162 0.884
Te 0.838 0.677 0.884
Te 0.998 0.499 0.121


(11)
The following is a computed powder X-ray diffraction pattern of Y6BiTe5. It was derived from DFT lattice parameters and positions (GGA-PBE), using Cu Kα (weighted mean of Kα1 and Kα2).
Intensities are scaled so that the largest is 100.

Peak list (6 most intense, 2θ from 15° to 90°, low angle first)
28.80°, I 100.0
41.09°, I 37.9
41.27°, I 37.4
51.10°, I 20.0
67.43°, I 17.2
67.69°, I 16.9

Crystal structure
a = 7.577 Å, b = 7.577 Å, c = 7.621 Å
α = 99.54°, β = 99.54°, γ = 119.96°
Positions (direct):
Y 0.082 0.415 0.248
Y 0.249 0.249 0.752
Y 0.415 0.082 0.248
Y 0.585 0.918 0.752
Y 0.751 0.751 0.248
Y 0.918 0.585 0.752
Bi 0.500 0.500 0.500
Te 0.000 0.000 0.000
Te 0.167 0.833 0.500
Te 0.334 0.666 0.000
Te 0.666 0.334 0.000
Te 0.833 0.167 0.500


(12)
The following is a computed powder X-ray diffraction pattern of YBiTe3. It was derived from DFT lattice parameters and positions (GGA-PBE), using Cu Kα (weighted mean of Kα1 and Kα2).
Intensities are scaled so that the largest is 100.

Peak list (6 most intense, 2θ from 15° to 90°, low angle first)
25.80°, I 47.4
26.67°, I 56.4
27.00°, I 100.0
31.90°, I 81.3
35.63°, I 46.8
40.85°, I 88.8

Crystal structure
a = 7.663 Å, b = 4.401 Å, c = 11.373 Å
α = 90.00°, β = 102.19°, γ = 90.00°
Positions (direct):
Y 0.233 0.250 0.490
Y 0.767 0.750 0.510
Bi 0.362 0.250 0.852
Bi 0.638 0.750 0.148
Te 0.027 0.750 0.334
Te 0.246 0.750 0.004
Te 0.461 0.750 0.651
Te 0.539 0.250 0.349
Te 0.754 0.250 0.996
Te 0.973 0.250 0.666


(13)
The following is a computed powder X-ray diffraction pattern of YBiTe3. It was derived from DFT lattice parameters and positions (GGA-PBE), using Cu Kα (weighted mean of Kα1 and Kα2).
Intensities are scaled so that the largest is 100.

Peak list (6 most intense, 2θ from 15° to 90°, low angle first)
27.21°, I 100.0
36.67°, I 32.5
40.96°, I 37.4
43.79°, I 9.8
49.87°, I 18.9
66.44°, I 16.0

Crystal structure
a = 4.407 Å, b = 4.407 Å, c = 31.969 Å
α = 90.00°, β = 90.00°, γ = 120.00°
Positions (direct):
Y 0.000 0.000 0.000
Y 0.333 0.667 0.667
Y 0.667 0.333 0.333
Bi 0.000 0.000 0.795
Bi 0.333 0.667 0.462
Bi 0.667 0.333 0.129
Te 0.000 0.000 0.182
Te 0.000 0.000 0.394
Te 0.000 0.000 0.616
Te 0.333 0.667 0.061
Te 0.333 0.667 0.283
Te 0.333 0.667 0.849
Te 0.667 0.333 0.515
Te 0.667 0.333 0.727
Te 0.667 0.333 0.949